Diffraction record for PrPuTe2. The XRD peak list is theoretical, not measured: it uses a crystal structure in Alexandria, relaxed with GGA-PBE and CuKα.
Intensities are scaled so that the largest is 100.

Main lines, sorted by position (2θ from 15° to 90°):
Position (°2θ)  intensity  (hkl)
26.16  100  1 0 2
29.34  73  1 0 3
33.34  50  1 0 4
37.92  26  1 0 5
40.99  68  1 1 0
42.95  34  1 0 6
48.03  14  0 0 8
49.27  18  2 0 2
51.20  15  2 0 3
53.82  13  2 0 4
64.94  34  1 1 8
65.96  16  2 1 2

```
data_PrPuTe2
_space_group_name_H-M_alt 'P 63/m m c'
_space_group_IT_number 194
_space_group_name_Hall '-P 6c 2c'
_cell_length_a 4.4040
_cell_length_b 4.4040
_cell_length_c 15.1540
_cell_angle_alpha 90.00
_cell_angle_beta 90.00
_cell_angle_gamma 120.00
loop_
_atom_site_label
_atom_site_type_symbol
_atom_site_fract_x
_atom_site_fract_y
_atom_site_fract_z
Pr1 Pr 0.3333 0.6667 0.2500
Pu1 Pu 0.0000 0.0000 0.0000
Te1 Te 0.3333 0.6667 0.6194
```

---

Diffraction record for Pr2PuTl3Te6. The XRD peak list is theoretical, not measured: it uses a crystal structure in Alexandria, relaxed with GGA-PBE and CuKα.
Intensities are scaled so that the largest is 100.

Main lines, sorted by position (2θ from 15° to 90°):
Position (°2θ)  intensity  (hkl)
26.82  100  1 3 1
37.18  39  2 0 2
39.37  37  0 6 0
44.53  7  0 0 4
48.28  20  4 0 0
55.26  13  4 0 -4
60.92  17  0 6 4
63.99  17  4 6 0
65.54  6  1 3 5
69.95  12  5 3 1
71.39  6  6 0 -2
88.16  6  6 0 -6

```
data_Pr2PuTl3Te6
_space_group_name_H-M_alt 'C 1 2/m 1'
_space_group_IT_number 12
_cell_length_a 7.927
_cell_length_b 13.731
_cell_length_c 8.558
_cell_angle_alpha 90.00
_cell_angle_beta 107.99
_cell_angle_gamma 90.00
loop_
_space_group_symop_operation_xyz
'x,y,z'
'-x,-y,-z'
'-x,y,-z'
'x,-y,z'
'x+1/2,y+1/2,z'
'-x+1/2,-y+1/2,-z'
'-x+1/2,y+1/2,-z'
'x+1/2,-y+1/2,z'
loop_
_atom_site_label
_atom_site_type_symbol
_atom_site_fract_x
_atom_site_fract_y
_atom_site_fract_z
Pr1 Pr 0.000 0.166 0.000
Pu1 Pu 0.000 0.500 0.000
Tl1 Tl 0.000 0.000 0.500
Tl2 Tl 0.000 0.332 0.500
Te1 Te 0.237 0.336 0.220
Te2 Te 0.246 0.000 0.221
```

---

Diffraction record for PrY3Pu2Te6. The XRD peak list is theoretical, not measured: it uses a crystal structure in Alexandria, relaxed with GGA-PBE and CuKα.
Intensities are scaled so that the largest is 100.

Main lines, sorted by position (2θ from 15° to 90°):
Position (°2θ)  intensity  (hkl)
23.70  7  1 1 1
28.59  100  6 0 0
40.74  38  7 1 -2
40.98  25  5 1 2
41.09  13  0 2 0
50.30  7  8 0 -4
50.64  7  4 0 4
50.82  14  6 2 0
59.20  8  2 2 -4
66.88  12  8 2 -4
67.17  12  4 2 4
74.60  11  7 3 -2

```
data_PrY3Pu2Te6
_space_group_name_H-M_alt 'C 1 2/m 1'
_space_group_IT_number 12
_cell_length_a 19.284
_cell_length_b 4.394
_cell_length_c 8.872
_cell_angle_alpha 90.00
_cell_angle_beta 103.68
_cell_angle_gamma 90.00
loop_
_space_group_symop_operation_xyz
'x,y,z'
'-x,-y,-z'
'-x,y,-z'
'x,-y,z'
'x+1/2,y+1/2,z'
'-x+1/2,-y+1/2,-z'
'-x+1/2,y+1/2,-z'
'x+1/2,-y+1/2,z'
loop_
_atom_site_label
_atom_site_type_symbol
_atom_site_fract_x
_atom_site_fract_y
_atom_site_fract_z
Pr1 Pr 0.000 0.000 0.000
Y1 Y 0.000 0.000 0.500
Y2 Y 0.164 0.500 0.834
Pu1 Pu 0.166 0.500 0.333
Te1 Te 0.000 0.500 0.259
Te2 Te 0.166 0.000 0.586
Te3 Te 0.170 0.000 0.083
```

---

Diffraction record for Pr4YPu3Te8. The XRD peak list is theoretical, not measured: it uses a crystal structure in Alexandria, relaxed with GGA-PBE and CuKα.
Intensities are scaled so that the largest is 100.

Main lines, sorted by position (2θ from 15° to 90°):
Position (°2θ)  intensity  (hkl)
28.22  100  0 2 4
40.17  39  2 0 8
40.50  38  2 2 0
49.52  7  0 0 12
50.10  21  4 0 4
58.36  13  0 4 8
65.83  18  2 2 12
66.31  18  2 4 4
72.76  6  0 2 16
73.45  13  4 2 8
73.67  7  6 0 0
87.63  5  4 4 0

```
data_Pr4YPu3Te8
_space_group_name_H-M_alt 'R -3 m'
_space_group_IT_number 166
_space_group_name_Hall '-R 3 2"'
_cell_length_a 8.9086
_cell_length_b 8.9086
_cell_length_c 22.0872
_cell_angle_alpha 90.00
_cell_angle_beta 90.00
_cell_angle_gamma 120.00
loop_
_atom_site_label
_atom_site_type_symbol
_atom_site_fract_x
_atom_site_fract_y
_atom_site_fract_z
Pr1 Pr 0.0000 0.0000 0.0000
Pr2 Pr 0.0000 0.5000 0.0000
Y1 Y 0.0000 0.0000 0.5000
Pu1 Pu 0.0000 0.5000 0.5000
Te1 Te 0.0000 0.0000 0.2471
Te2 Te 0.0020 0.5010 0.2467
```

---

Diffraction record for Pr4Y3PuTe8. The XRD peak list is theoretical, not measured: it uses a crystal structure in Alexandria, relaxed with GGA-PBE and CuKα.
Intensities are scaled so that the largest is 100.

Main lines, sorted by position (2θ from 15° to 90°):
Position (°2θ)  intensity  (hkl)
28.32  100  0 2 4
40.27  38  2 0 8
40.69  38  2 2 0
49.60  7  0 0 12
50.32  20  4 0 4
58.58  13  0 4 8
66.02  17  2 2 12
66.62  17  2 4 4
72.90  6  0 2 16
73.77  13  4 2 8
74.06  6  6 0 0
88.11  4  4 4 0

```
data_Pr4Y3PuTe8
_space_group_name_H-M_alt 'R -3 m'
_space_group_IT_number 166
_space_group_name_Hall '-R 3 2"'
_cell_length_a 8.8693
_cell_length_b 8.8693
_cell_length_c 22.0571
_cell_angle_alpha 90.00
_cell_angle_beta 90.00
_cell_angle_gamma 120.00
loop_
_atom_site_label
_atom_site_type_symbol
_atom_site_fract_x
_atom_site_fract_y
_atom_site_fract_z
Pr1 Pr 0.0000 0.0000 0.0000
Pr2 Pr 0.0000 0.5000 0.0000
Y1 Y 0.0000 0.5000 0.5000
Pu1 Pu 0.0000 0.0000 0.5000
Te1 Te 0.0000 0.0000 0.2454
Te2 Te 0.0018 0.5009 0.7540
```

---

Diffraction record for Pr8Tm5Pu. The XRD peak list is theoretical, not measured: it uses a crystal structure in Alexandria, relaxed with GGA-PBE and CuKα.
Intensities are scaled so that the largest is 100.

Main lines, sorted by position (2θ from 15° to 90°):
Position (°2θ)  intensity  (hkl)
15.42  12  2 0 0
25.32  24  3 1 0
29.55  27  4 0 -3
30.12  41  3 1 -3
31.15  68  1 3 0
31.53  100  1 1 2
32.38  46  4 2 -1
34.27  59  5 1 -1
35.92  21  4 2 -3
50.99  16  4 4 -3
51.74  15  3 1 -5
58.03  11  5 3 1

```
data_Pr8Tm5Pu
_space_group_name_H-M_alt 'C 1 2 1'
_space_group_IT_number 5
_cell_length_a 14.757
_cell_length_b 8.894
_cell_length_c 9.444
_cell_angle_alpha 90.00
_cell_angle_beta 128.85
_cell_angle_gamma 90.00
loop_
_space_group_symop_operation_xyz
'x,y,z'
'-x,y,-z'
'x+1/2,y+1/2,z'
'-x+1/2,y+1/2,-z'
loop_
_atom_site_label
_atom_site_type_symbol
_atom_site_fract_x
_atom_site_fract_y
_atom_site_fract_z
Pr1 Pr 0.032 0.000 0.360
Pr2 Pr 0.180 0.406 0.713
Pr3 Pr 0.199 0.673 0.430
Pr4 Pr 0.246 0.338 0.168
Tm1 Tm 0.000 0.035 0.000
Tm2 Tm 0.040 0.362 0.224
Tm3 Tm 0.094 0.681 0.950
Pu1 Pu 0.000 0.674 0.500
```

---

> Which formula does entry 1 have?

PrPuTe2

---

> Which formula does entry 3 have?

PrY3Pu2Te6